1.
For Na2Hg4Br9, a crystal structure in Alexandria, relaxed with PBE gives the simulated powder diffractogram in this record (a wavelength of 1.5418 Å).

Cell and atoms:
```
Na2Hg4Br9
1.0
7.4510 0.0000 0.0000
3.6198 6.6178 0.0000
0.8813 3.2698 20.7857
Na Hg Br
4 8 18
direct
0.0251 0.2591 0.1529
0.0500 0.1119 0.3482
0.9500 0.8881 0.6518
0.9749 0.7409 0.8471
0.2865 0.0252 0.9393
0.3071 0.1219 0.7035
0.3427 0.3092 0.4997
0.3704 0.5745 0.1819
0.6296 0.4255 0.8181
0.6573 0.6908 0.5003
0.6929 0.8781 0.2965
0.7135 0.9748 0.0607
0.0294 0.9004 0.2451
0.0434 0.6229 0.0838
0.0638 0.4101 0.4164
0.2821 0.4617 0.7350
0.2852 0.9847 0.5921
0.3313 0.2083 0.2506
0.3421 0.6749 0.9135
0.3571 0.9483 0.0784
0.3835 0.7210 0.4262
0.6165 0.2790 0.5738
0.6429 0.0517 0.9216
0.6579 0.3251 0.0865
0.6687 0.7917 0.7494
0.7148 0.0153 0.4079
0.7179 0.5383 0.2650
0.9362 0.5899 0.5836
0.9566 0.3771 0.9162
0.9706 0.0996 0.7549
```

Most intense lines, 15° ≤ 2θ ≤ 90°, in order of rising 2θ:
d/Å  Rel. int.
5.182  85
4.424  52
4.147  100
3.817  68
3.692  43
3.686  45
3.571  61
2.716  51
2.307  60
2.203  80
2.177  77
2.087  44

***

2.
For Er3NpSb4, a crystal structure in Alexandria, relaxed with PBE gives the simulated powder diffractogram in this record (a wavelength of 1.5418 Å).

Cell and atoms:
```
Er3NpSb4
1.0
7.5600 0.0000 0.0000
0.0000 8.7415 0.0000
-2.5238 0.0000 7.1258
Er Np Sb
6 2 8
direct
0.0000 0.1240 0.2500
0.0000 0.3731 0.7500
0.0000 0.6269 0.2500
0.0000 0.8760 0.7500
0.5000 0.1246 0.7500
0.5000 0.8754 0.2500
0.5000 0.3744 0.2500
0.5000 0.6256 0.7500
0.2482 0.3744 0.4995
0.2482 0.6256 0.9995
0.2490 0.1238 0.9997
0.2490 0.8762 0.4997
0.7510 0.1238 0.5003
0.7510 0.8762 0.0003
0.7518 0.3744 0.0005
0.7518 0.6256 0.5005
```

Most intense lines, 15° ≤ 2θ ≤ 90°, in order of rising 2θ:
d/Å  Rel. int.
3.565  7
3.088  100
2.183  76
1.862  4
1.783  27
1.544  13
1.417  1
1.381  29
1.380  6
1.261  17
1.260  9
1.091  7

***

3.
For GaGe2H5CNO6, a crystal structure in Alexandria, relaxed with PBE gives the simulated powder diffractogram in this record (a wavelength of 1.5418 Å).

Cell and atoms:
```
GaGe2H5CNO6
1.0
7.2004 0.0000 0.0000
-2.5753 7.3529 0.0000
-1.6180 -3.8062 6.7112
Ga Ge H C N O
2 4 10 2 2 12
direct
0.0812 0.3127 0.2478
0.9188 0.6873 0.7522
0.2320 0.8074 0.5139
0.2805 0.9743 0.1959
0.7195 0.0257 0.8041
0.7680 0.1926 0.4861
0.2409 0.3743 0.6274
0.2851 0.5094 0.9692
0.3168 0.2755 0.8827
0.4776 0.6015 0.7680
0.4873 0.3791 0.6788
0.5127 0.6209 0.3212
0.5224 0.3985 0.2320
0.6832 0.7245 0.1173
0.7149 0.4906 0.0308
0.7591 0.6257 0.3726
0.3879 0.4402 0.9204
0.6121 0.5598 0.0796
0.3961 0.4480 0.7371
0.6039 0.5520 0.2629
0.0049 0.2739 0.4461
0.1336 0.7431 0.9670
0.2087 0.9564 0.3945
0.2587 0.1899 0.1879
0.2749 0.5971 0.3706
0.4486 0.9808 0.7496
0.5514 0.0192 0.2504
0.7251 0.4029 0.6294
0.7413 0.8101 0.8121
0.7913 0.0436 0.6055
0.8664 0.2569 0.0330
0.9951 0.7261 0.5539
```

Most intense lines, 15° ≤ 2θ ≤ 90°, in order of rising 2θ:
d/Å  Rel. int.
5.833  50
4.735  23
3.899  53
3.584  100
3.560  97
3.384  23
3.347  23
3.250  23
3.138  21
3.065  25
2.713  47
2.418  39

***

4.
For NdMg4Au, a crystal structure in Alexandria, relaxed with PBE gives the simulated powder diffractogram in this record (a wavelength of 1.5418 Å).

Cell and atoms:
```
NdMg4Au
1.0
8.6976 0.0000 0.0000
0.0000 4.3474 0.0000
0.0000 0.0000 7.6157
Nd Mg Au
2 8 2
direct
0.2500 0.0000 0.1066
0.7500 0.0000 0.8934
0.0000 0.0000 0.5000
0.0581 0.5000 0.8065
0.2500 0.5000 0.4481
0.4419 0.5000 0.8065
0.5000 0.0000 0.5000
0.5581 0.5000 0.1935
0.7500 0.5000 0.5519
0.9419 0.5000 0.1935
0.2500 0.0000 0.7053
0.7500 0.0000 0.2947
```

Most intense lines, 15° ≤ 2θ ≤ 90°, in order of rising 2θ:
d/Å  Rel. int.
5.730  24
4.348  100
3.488  32
3.075  53
2.721  53
2.437  22
2.392  22
2.307  15
2.174  34
2.126  19
2.038  17
1.945  28

***

5.
For Pm2Pr6Pu, a crystal structure in Alexandria, relaxed with PBE gives the simulated powder diffractogram in this record (a wavelength of 1.5418 Å).

Cell and atoms:
```
Pm2Pr6Pu
1.0
10.1440 -4.8318 0.0000
10.1440 4.8318 0.0000
-2.2270 0.0000 6.3543
Pm Pr Pu
4 12 2
direct
0.0190 0.3737 0.1960
0.3737 0.0190 0.6960
0.6263 0.9810 0.3040
0.9810 0.6263 0.8040
0.0256 0.6997 0.3623
0.2875 0.6574 0.9726
0.3003 0.9744 0.1377
0.3344 0.3338 0.0838
0.3338 0.3344 0.5838
0.3426 0.7125 0.5274
0.6574 0.2875 0.4726
0.6662 0.6656 0.4162
0.6656 0.6662 0.9162
0.6997 0.0256 0.8623
0.7125 0.3426 0.0274
0.9744 0.3003 0.6377
0.9998 0.0002 0.2500
0.0002 0.9998 0.7500
```

Most intense lines, 15° ≤ 2θ ≤ 90°, in order of rising 2θ:
d/Å  Rel. int.
3.344  22
3.191  31
2.876  86
2.846  80
2.763  100
2.088  26
1.963  11
1.870  16
1.804  13
1.621  22
1.554  11
1.453  22

***

6.
For DyInSnPb, a crystal structure in Alexandria, relaxed with PBE gives the simulated powder diffractogram in this record (a wavelength of 1.5418 Å).

Cell and atoms:
```
DyInSnPb
1.0
-2.2914 2.2914 5.0644
2.2914 -2.2914 5.0644
2.2914 2.2914 -5.0644
Dy In Sn Pb
1 1 1 1
direct
0.0000 0.0000 0.0000
0.2500 0.7500 0.5000
0.7500 0.2500 0.5000
0.5000 0.5000 0.0000
```

Most intense lines, 15° ≤ 2θ ≤ 90°, in order of rising 2θ:
d/Å  Rel. int.
5.064  5
2.730  100
2.532  20
2.291  31
1.699  25
1.620  11
1.497  16
1.393  26
1.365  12
1.146  4
1.108  7
1.100  13